No. 1
Diffraction record for ErBeNi11. The powder XRD pattern is theoretical, not measured: it uses the PBE geometry in Alexandria and Cu Ka.
No peak broadening, texture or thermal motion is included.

```
ErBeNi11
1.0
2.302 -5.759 0.000
2.302 5.759 0.000
-2.101 0.000 5.759
Er Be Ni
1 1 11
direct
0.000 0.000 0.000
0.500 0.500 0.500
0.000 0.000 0.500
0.000 0.500 0.000
0.009 0.657 0.645
0.289 0.507 0.771
0.343 0.991 0.355
0.493 0.711 0.229
0.500 0.000 0.000
0.507 0.289 0.771
0.657 0.009 0.645
0.711 0.493 0.229
0.991 0.343 0.355
```

Largest 6 diffraction maxima, low angle first, 10° ≤ 2θ ≤ 90°:
two_theta  intensity
38.93  36
39.15  26
44.05  39
44.52  100
44.78  51
45.77  32

***

No. 2
Diffraction record for Ag5AuF8. The powder XRD pattern is theoretical, not measured: it uses the PBE geometry in Alexandria and Cu Ka.
No peak broadening, texture or thermal motion is included.

```
Ag5AuF8
1.0
-3.619 3.619 4.059
3.619 -3.619 4.059
3.619 3.619 -4.059
Ag Au F
5 1 8
direct
0.000 0.000 0.000
0.270 0.670 0.157
0.330 0.487 0.601
0.513 0.114 0.843
0.886 0.730 0.399
0.750 0.250 0.500
0.037 0.247 0.762
0.190 0.758 0.799
0.242 0.041 0.432
0.485 0.274 0.238
0.609 0.810 0.568
0.726 0.963 0.210
0.753 0.515 0.790
0.959 0.391 0.201
```

Largest 6 diffraction maxima, low angle first, 10° ≤ 2θ ≤ 90°:
two_theta  intensity
28.06  54
29.71  100
35.41  50
38.94  35
45.49  29
57.13  20

***

No. 3
Diffraction record for Sb6Au3Se. The powder XRD pattern is theoretical, not measured: it uses the PBE geometry in Alexandria and Cu Ka.
No peak broadening, texture or thermal motion is included.

```
Sb6Au3Se
1.0
4.147 0.000 0.000
0.002 9.294 0.000
0.005 0.539 13.556
Sb Au Se
12 6 2
direct
0.249 0.423 0.367
0.250 0.107 0.579
0.250 0.124 0.063
0.250 0.230 0.784
0.250 0.527 0.085
0.250 0.822 0.769
0.750 0.178 0.231
0.750 0.473 0.915
0.750 0.770 0.216
0.750 0.876 0.937
0.750 0.893 0.421
0.751 0.577 0.633
0.250 0.088 0.361
0.250 0.524 0.771
0.250 0.826 0.082
0.750 0.174 0.918
0.750 0.476 0.229
0.750 0.912 0.639
0.249 0.671 0.471
0.751 0.329 0.529
```

Largest 6 diffraction maxima, low angle first, 10° ≤ 2θ ≤ 90°:
two_theta  intensity
28.85  41
29.23  100
34.16  53
42.11  44
43.65  39
44.57  45

***

No. 4
Diffraction record for Dy3InS6. The powder XRD pattern is theoretical, not measured: it uses the PBE geometry in Alexandria and Cu Ka.
No peak broadening, texture or thermal motion is included.

```
Dy3InS6
1.0
13.501 0.000 0.000
0.000 16.529 0.000
0.000 0.000 3.854
Dy In S
12 4 24
direct
0.038 0.225 0.250
0.190 0.645 0.250
0.249 0.892 0.750
0.251 0.392 0.250
0.310 0.145 0.750
0.462 0.725 0.750
0.538 0.275 0.750
0.690 0.855 0.750
0.749 0.608 0.250
0.751 0.108 0.750
0.810 0.355 0.250
0.962 0.775 0.250
0.000 0.000 0.752
0.000 0.500 0.750
0.500 0.000 0.250
0.500 0.500 0.248
0.021 0.395 0.250
0.097 0.912 0.251
0.111 0.119 0.751
0.114 0.746 0.750
0.181 0.286 0.750
0.193 0.520 0.750
0.307 0.020 0.250
0.319 0.786 0.250
0.386 0.246 0.250
0.389 0.619 0.249
0.403 0.412 0.749
0.479 0.895 0.750
0.521 0.105 0.750
0.597 0.588 0.749
0.611 0.381 0.249
0.614 0.754 0.250
0.681 0.214 0.250
0.693 0.980 0.250
0.807 0.480 0.750
0.819 0.714 0.750
0.886 0.254 0.750
0.889 0.881 0.751
0.903 0.088 0.251
0.979 0.605 0.250
```

Largest 6 diffraction maxima, low angle first, 10° ≤ 2θ ≤ 90°:
two_theta  intensity
25.27  100
26.37  88
31.27  41
34.70  47
35.78  45
47.15  48

***

No. 5
Diffraction record for NaTcRuO6. The powder XRD pattern is theoretical, not measured: it uses the PBE geometry in Alexandria and Cu Ka.
No peak broadening, texture or thermal motion is included.

```
NaTcRuO6
1.0
5.279 0.000 0.000
-2.639 4.572 0.000
0.000 0.000 5.057
Na Tc Ru O
1 1 1 6
direct
0.000 0.000 0.000
0.333 0.667 0.500
0.667 0.333 0.500
0.006 0.386 0.705
0.006 0.620 0.295
0.380 0.386 0.295
0.380 0.994 0.705
0.614 0.620 0.705
0.614 0.994 0.295
```

Largest 6 diffraction maxima, low angle first, 10° ≤ 2θ ≤ 90°:
two_theta  intensity
17.54  100
19.42  48
26.28  88
33.97  43
38.47  60
49.95  59

***

No. 6
Diffraction record for TmAl12Ni4. The powder XRD pattern is theoretical, not measured: it uses the PBE geometry in Alexandria and Cu Ka.
No peak broadening, texture or thermal motion is included.

```
TmAl12Ni4
1.0
-4.278 4.278 4.278
4.278 -4.278 4.278
4.278 4.278 -4.278
Tm Al Ni
1 12 4
direct
0.000 0.000 0.000
0.138 0.811 0.327
0.189 0.327 0.517
0.189 0.673 0.862
0.327 0.138 0.811
0.327 0.517 0.189
0.483 0.811 0.673
0.517 0.189 0.327
0.673 0.483 0.811
0.673 0.862 0.189
0.811 0.327 0.138
0.811 0.673 0.483
0.862 0.189 0.673
0.000 0.000 0.500
0.000 0.500 0.000
0.500 0.000 0.000
0.500 0.500 0.500
```

Largest 6 diffraction maxima, low angle first, 10° ≤ 2θ ≤ 90°:
two_theta  intensity
14.64  87
25.50  68
29.53  100
33.11  89
39.41  84
52.39  87